(1)
K2CuP2Pd2: computed powder diffraction line list (Cu Kα (λ = 1.5418 Å)), based on a structure optimized by DFT (GGA-PBE).

Largest 6 diffraction maxima, in order of rising 2θ, 10° ≤ 2θ ≤ 80°:
Position (°2θ)  d [Å]  intensity
12.83  6.897  100
28.02  3.184  36
32.19  2.781  26
32.98  2.716  55
39.51  2.281  23
40.63  2.220  32

Structural model:
```
K2CuP2Pd2
1.0
5.6938 -2.2195 0.0000
5.6938 2.2195 0.0000
-4.3553 0.0000 6.8973
K Cu P Pd
2 1 2 2
direct
0.0650 0.0650 0.3318
0.9350 0.9350 0.6682
0.5000 0.5000 0.0000
0.2701 0.2701 0.8207
0.7299 0.7299 0.1793
0.2638 0.2638 0.1117
0.7362 0.7362 0.8883
```


(2)
KCu2PSe4: computed powder diffraction line list (Cu Kα (λ = 1.5418 Å)), based on a structure optimized by DFT (GGA-PBE).

Largest 6 diffraction maxima, in order of rising 2θ, 10° ≤ 2θ ≤ 80°:
Position (°2θ)  d [Å]  intensity
15.29  5.794  69
27.49  3.244  100
28.73  3.107  69
33.22  2.697  35
36.45  2.465  38
55.71  1.650  28

Structural model:
```
KCu2PSe4
1.0
-3.1736 3.9140 4.3086
3.1736 -3.9140 4.3086
3.1736 3.9140 -4.3086
K Cu P Se
1 2 1 4
direct
0.0000 0.0000 0.0000
0.3462 0.8462 0.5000
0.6538 0.1538 0.5000
0.5000 0.5000 0.0000
0.1792 0.1461 0.6284
0.4822 0.8539 0.0330
0.5178 0.5508 0.3716
0.8208 0.4492 0.9670
```


(3)
KCuP2Se8: computed powder diffraction line list (Cu Kα (λ = 1.5418 Å)), based on a structure optimized by DFT (GGA-PBE).

Largest 6 diffraction maxima, in order of rising 2θ, 10° ≤ 2θ ≤ 80°:
Position (°2θ)  d [Å]  intensity
21.87  4.064  54
22.40  3.968  47
32.26  2.775  100
34.87  2.573  93
38.88  2.317  36
49.88  1.828  57

Structural model:
```
KCuP2Se8
1.0
2.8532 1.6473 11.9050
-2.8532 1.6473 11.9050
0.0000 -3.2946 11.9050
K Cu P Se
1 1 2 8
direct
0.0000 0.0000 0.0000
0.5000 0.5000 0.5000
0.2403 0.2403 0.2403
0.7597 0.7597 0.7597
0.1478 0.8057 0.4028
0.1943 0.5972 0.8522
0.3005 0.3005 0.3005
0.4028 0.1478 0.8057
0.5972 0.8522 0.1943
0.6995 0.6995 0.6995
0.8057 0.4028 0.1478
0.8522 0.1943 0.5972
```


(4)
KCuP2Se5: computed powder diffraction line list (Cu Kα (λ = 1.5418 Å)), based on a structure optimized by DFT (GGA-PBE).

Largest 6 diffraction maxima, in order of rising 2θ, 10° ≤ 2θ ≤ 80°:
Position (°2θ)  d [Å]  intensity
27.56  3.236  100
27.70  3.220  61
27.81  3.208  91
28.95  3.085  59
32.98  2.716  64
34.02  2.635  66

Structural model:
```
KCuP2Se5
1.0
11.1517 0.0000 0.0000
0.0000 7.9424 0.0000
-7.3408 0.0000 11.1943
K Cu P Se
4 4 8 20
direct
0.1228 0.1463 0.2069
0.1228 0.3537 0.7069
0.8772 0.6463 0.2931
0.8772 0.8537 0.7931
0.3614 0.6671 0.1685
0.3614 0.8329 0.6685
0.6386 0.1671 0.3315
0.6386 0.3329 0.8315
0.3091 0.6585 0.4156
0.3091 0.8415 0.9156
0.3280 0.0603 0.0342
0.3280 0.4397 0.5342
0.6720 0.5603 0.4658
0.6720 0.9397 0.9658
0.6909 0.1585 0.0844
0.6909 0.3415 0.5844
0.1198 0.1811 0.9465
0.1198 0.3189 0.4465
0.1989 0.5824 0.2294
0.1989 0.9176 0.7294
0.2190 0.6268 0.9560
0.2190 0.8732 0.4560
0.4289 0.5298 0.7206
0.4289 0.9702 0.2206
0.4590 0.2472 0.5033
0.4590 0.2528 0.0033
0.5410 0.7472 0.9967
0.5410 0.7528 0.4967
0.5711 0.0298 0.7794
0.5711 0.4702 0.2794
0.7810 0.1268 0.5440
0.7810 0.3732 0.0440
0.8011 0.0824 0.2706
0.8011 0.4176 0.7706
0.8802 0.6811 0.5535
0.8802 0.8189 0.0535
```


(5)
KPa2CuS5: computed powder diffraction line list (Cu Kα (λ = 1.5418 Å)), based on a structure optimized by DFT (GGA-PBE).

Largest 6 diffraction maxima, in order of rising 2θ, 10° ≤ 2θ ≤ 80°:
Position (°2θ)  d [Å]  intensity
13.01  6.805  87
26.77  3.331  35
26.91  3.313  69
32.82  2.729  100
39.59  2.276  31
42.46  2.129  49

Structural model:
```
KPa2CuS5
1.0
-3.8193 3.8193 6.8051
3.8193 -3.8193 6.8051
3.8193 3.8193 -6.8051
K Pa Cu S
2 4 2 10
direct
0.2500 0.2500 0.0000
0.7500 0.7500 0.0000
0.1604 0.6604 0.8208
0.3396 0.1604 0.5000
0.6604 0.8396 0.5000
0.8396 0.3396 0.1792
0.2500 0.7500 0.5000
0.7500 0.2500 0.5000
0.0000 0.0000 0.0000
0.0190 0.2298 0.5000
0.2298 0.7298 0.2108
0.2702 0.4810 0.5000
0.4810 0.9810 0.2108
0.5000 0.5000 0.0000
0.5190 0.0190 0.7892
0.7298 0.5190 0.5000
0.7702 0.2702 0.7892
0.9810 0.7702 0.5000
```


(6)
KPaCuTe3: computed powder diffraction line list (Cu Kα (λ = 1.5418 Å)), based on a structure optimized by DFT (GGA-PBE).

Largest 6 diffraction maxima, in order of rising 2θ, 10° ≤ 2θ ≤ 80°:
Position (°2θ)  d [Å]  intensity
10.98  8.055  100
25.92  3.438  28
26.50  3.364  41
27.65  3.226  35
30.86  2.897  53
38.26  2.352  60

Structural model:
```
KPaCuTe3
1.0
2.1577 -8.0547 0.0000
2.1577 8.0547 0.0000
0.0000 0.0000 11.4044
K Pa Cu Te
2 2 2 6
direct
0.2500 0.7500 0.7500
0.7500 0.2500 0.2500
0.0000 0.0000 0.0000
0.0000 0.0000 0.5000
0.4725 0.5275 0.2500
0.5275 0.4725 0.7500
0.0708 0.9292 0.2500
0.3721 0.6279 0.0668
0.3721 0.6279 0.4332
0.6279 0.3721 0.5668
0.6279 0.3721 0.9332
0.9292 0.0708 0.7500
```


(7)
KCuPbSe2: computed powder diffraction line list (Cu Kα (λ = 1.5418 Å)), based on a structure optimized by DFT (GGA-PBE).

Largest 6 diffraction maxima, in order of rising 2θ, 10° ≤ 2θ ≤ 80°:
Position (°2θ)  d [Å]  intensity
11.95  7.408  100
25.93  3.436  62
27.00  3.302  31
28.05  3.181  29
28.76  3.104  25
38.65  2.330  33

Structural model:
```
KCuPbSe2
1.0
7.8669 0.0000 0.0000
0.0000 5.0902 0.0000
-2.7971 0.0000 7.8314
K Cu Pb Se
2 2 2 4
direct
0.0000 0.2355 0.2500
0.0000 0.7645 0.7500
0.5000 0.0000 0.0000
0.5000 0.0000 0.5000
0.5000 0.4041 0.7500
0.5000 0.5959 0.2500
0.2585 0.2551 0.9924
0.2585 0.7449 0.4924
0.7415 0.2551 0.5076
0.7415 0.7449 0.0076
```


(8)
KCu3Pd: computed powder diffraction line list (Cu Kα (λ = 1.5418 Å)), based on a structure optimized by DFT (GGA-PBE).

Largest 6 diffraction maxima, in order of rising 2θ, 10° ≤ 2θ ≤ 80°:
Position (°2θ)  d [Å]  intensity
18.30  4.849  87
25.99  3.428  27
31.97  2.799  31
37.08  2.424  100
41.65  2.168  43
53.45  1.714  66

Structural model:
```
KCu3Pd
1.0
4.8486 0.0000 0.0000
0.0000 4.8486 0.0000
0.0000 0.0000 4.8486
K Cu Pd
1 3 1
direct
0.0000 0.0000 0.0000
0.0000 0.5000 0.5000
0.5000 0.0000 0.5000
0.5000 0.5000 0.0000
0.5000 0.5000 0.5000
```